[1]
# Pm2Dy4MgSc
Theoretical powder XRD pattern, copper Kα. Input: a structure optimized by DFT (PBE).

Cell and atoms:
Unit cell a=4.9513 b=4.9513 c=9.8855 alpha=90.00 beta=90.00 gamma=90.00
Positions (direct):
Pm 0.0000 0.0000 0.0000
Pm 0.5000 0.5000 0.5000
Dy 0.0000 0.5000 0.2461
Dy 0.0000 0.5000 0.7539
Dy 0.5000 0.0000 0.2461
Dy 0.5000 0.0000 0.7539
Mg 0.0000 0.0000 0.5000
Sc 0.5000 0.5000 0.0000

The 10 most intense peaks (2θ = 10–80°), by angle:
4.943 Å, rel. 7
4.427 Å, rel. 15
3.501 Å, rel. 6
2.857 Å, rel. 100
2.743 Å, rel. 4
2.474 Å, rel. 50
2.161 Å, rel. 5
1.750 Å, rel. 35
1.492 Å, rel. 42
1.428 Å, rel. 12

---

[2]
# LiPrZnAu
Theoretical powder XRD pattern, copper Kα. Input: a structure optimized by DFT (PBE).

Cell and atoms:
Unit cell a=7.0429 b=7.0429 c=7.0429 alpha=90.00 beta=90.00 gamma=90.00
Positions (direct):
Li 0.0000 0.0000 0.0000
Li 0.0000 0.5000 0.5000
Li 0.5000 0.0000 0.5000
Li 0.5000 0.5000 0.0000
Pr 0.0000 0.0000 0.5000
Pr 0.0000 0.5000 0.0000
Pr 0.5000 0.0000 0.0000
Pr 0.5000 0.5000 0.5000
Zn 0.2500 0.2500 0.7500
Zn 0.2500 0.7500 0.2500
Zn 0.7500 0.2500 0.2500
Zn 0.7500 0.7500 0.7500
Au 0.2500 0.2500 0.2500
Au 0.2500 0.7500 0.7500
Au 0.7500 0.2500 0.7500
Au 0.7500 0.7500 0.2500

The 10 most intense peaks (2θ = 10–80°), by angle:
4.066 Å, rel. 47
3.521 Å, rel. 11
2.490 Å, rel. 100
2.124 Å, rel. 25
1.761 Å, rel. 18
1.616 Å, rel. 11
1.575 Å, rel. 4
1.438 Å, rel. 36
1.355 Å, rel. 8
1.245 Å, rel. 11

---

[3]
# Ag5Bi
Theoretical powder XRD pattern, copper Kα. Input: a structure optimized by DFT (PBE).

Cell and atoms:
Unit cell a=4.3461 b=12.8254 c=4.3002 alpha=90.00 beta=90.00 gamma=90.00
Positions (direct):
Ag 0.0000 0.0000 0.0000
Ag 0.0000 0.1726 0.5000
Ag 0.0000 0.3262 0.0000
Ag 0.0000 0.6738 0.0000
Ag 0.0000 0.8274 0.5000
Ag 0.5000 0.1738 0.0000
Ag 0.5000 0.3274 0.5000
Ag 0.5000 0.5000 0.0000
Ag 0.5000 0.6726 0.5000
Ag 0.5000 0.8262 0.0000
Bi 0.0000 0.5000 0.5000
Bi 0.5000 0.0000 0.5000

The 10 most intense peaks (2θ = 10–80°), by angle:
2.487 Å, rel. 100
2.173 Å, rel. 17
2.150 Å, rel. 16
2.138 Å, rel. 16
1.528 Å, rel. 11
1.524 Å, rel. 10
1.307 Å, rel. 13
1.297 Å, rel. 12
1.292 Å, rel. 11
1.243 Å, rel. 10

---

[4]
# MnPd15Au4
Theoretical powder XRD pattern, copper Kα. Input: a structure optimized by DFT (PBE).

Cell and atoms:
Unit cell a=3.9827 b=3.9827 c=20.0683 alpha=90.00 beta=90.00 gamma=90.00
Positions (direct):
Mn 0.0000 0.0000 0.0000
Pd 0.0000 0.5000 0.0955
Pd 0.0000 0.5000 0.2982
Pd 0.0000 0.5000 0.5000
Pd 0.0000 0.5000 0.7018
Pd 0.0000 0.5000 0.9045
Pd 0.5000 0.0000 0.0955
Pd 0.5000 0.0000 0.2982
Pd 0.5000 0.0000 0.5000
Pd 0.5000 0.0000 0.7018
Pd 0.5000 0.0000 0.9045
Pd 0.5000 0.5000 0.0000
Pd 0.5000 0.5000 0.1966
Pd 0.5000 0.5000 0.3995
Pd 0.5000 0.5000 0.6005
Pd 0.5000 0.5000 0.8034
Au 0.0000 0.0000 0.1973
Au 0.0000 0.0000 0.3989
Au 0.0000 0.0000 0.6011
Au 0.0000 0.0000 0.8027

The 10 most intense peaks (2θ = 10–80°), by angle:
3.983 Å, rel. 3
2.827 Å, rel. 3
2.305 Å, rel. 100
2.007 Å, rel. 16
1.991 Å, rel. 32
1.782 Å, rel. 2
1.414 Å, rel. 21
1.408 Å, rel. 10
1.208 Å, rel. 12
1.202 Å, rel. 25

---

[5]
# V2H3Rh3
Theoretical powder XRD pattern, copper Kα. Input: a structure optimized by DFT (PBE).

Cell and atoms:
Unit cell a=5.2890 b=5.2890 c=11.0878 alpha=90.71 beta=90.71 gamma=30.85
Positions (direct):
V 0.0000 0.0000 0.0000
V 0.2581 0.2581 0.0084
V 0.5182 0.5182 0.3952
V 0.9080 0.9080 0.5781
H 0.3711 0.3711 0.4838
H 0.4136 0.4136 0.9291
H 0.4541 0.4541 0.1189
H 0.7163 0.7163 0.4907
H 0.7742 0.7742 0.7144
H 0.7823 0.7823 0.1083
Rh 0.2304 0.2304 0.3858
Rh 0.3776 0.3776 0.7692
Rh 0.6113 0.6113 0.6157
Rh 0.6251 0.6251 0.1770
Rh 0.6398 0.6398 0.8541
Rh 0.8965 0.8965 0.2340

The 10 most intense peaks (2θ = 10–80°), by angle:
2.448 Å, rel. 38
2.433 Å, rel. 44
2.422 Å, rel. 43
2.327 Å, rel. 50
2.217 Å, rel. 47
2.190 Å, rel. 100
2.167 Å, rel. 72
2.124 Å, rel. 43
2.111 Å, rel. 30
2.086 Å, rel. 31

---

[6]
# K3P4H5O14
Theoretical powder XRD pattern, copper Kα. Input: a structure optimized by DFT (PBE).

Cell and atoms:
Unit cell a=9.9013 b=9.9013 c=11.1861 alpha=124.05 beta=124.05 gamma=54.98
Positions (direct):
K 0.0576 0.9424 0.7500
K 0.2919 0.4024 0.5798
K 0.4024 0.2919 0.0798
K 0.5976 0.7081 0.9202
K 0.7081 0.5976 0.4202
K 0.9424 0.0576 0.2500
P 0.0084 0.6233 0.8255
P 0.2360 0.7148 0.4326
P 0.2852 0.7640 0.0674
P 0.3767 0.9916 0.6745
P 0.6233 0.0084 0.3255
P 0.7148 0.2360 0.9326
P 0.7640 0.2852 0.5674
P 0.9916 0.3767 0.1745
H 0.0154 0.6538 0.2237
H 0.2180 0.2817 0.7366
H 0.2817 0.2180 0.2366
H 0.3462 0.9846 0.2763
H 0.5000 0.5000 0.0000
H 0.5000 0.5000 0.5000
H 0.6538 0.0154 0.7237
H 0.7183 0.7820 0.7634
H 0.7820 0.7183 0.2634
H 0.9846 0.3462 0.7763
O 0.0103 0.6348 0.6986
O 0.0893 0.7255 0.2709
O 0.0928 0.7567 0.9925
O 0.1037 0.4417 0.8403
O 0.1833 0.3002 0.1752
O 0.1897 0.6925 0.5252
O 0.2433 0.9072 0.5075
O 0.2745 0.9107 0.2291
O 0.3002 0.1833 0.6752
O 0.3075 0.8103 0.9748
O 0.3652 0.9897 0.8014
O 0.4141 0.5757 0.4096
O 0.4243 0.5859 0.0904
O 0.4417 0.1037 0.3403
O 0.5583 0.8963 0.6597
O 0.5757 0.4141 0.9096
O 0.5859 0.4243 0.5904
O 0.6348 0.0103 0.1986
O 0.6925 0.1897 0.0252
O 0.6998 0.8167 0.3248
O 0.7255 0.0893 0.7709
O 0.7567 0.0928 0.4925
O 0.8103 0.3075 0.4748
O 0.8167 0.6998 0.8248
O 0.8963 0.5583 0.1597
O 0.9072 0.2433 0.0075
O 0.9107 0.2745 0.7291
O 0.9897 0.3652 0.3014

The 10 most intense peaks (2θ = 10–80°), by angle:
5.593 Å, rel. 44
4.040 Å, rel. 22
3.539 Å, rel. 100
3.452 Å, rel. 49
3.300 Å, rel. 54
3.279 Å, rel. 37
3.096 Å, rel. 22
3.074 Å, rel. 64
3.064 Å, rel. 25
2.360 Å, rel. 23